Starting from a cell relaxed with PBE, the powder X-ray diffraction pattern of Tm2AlTe was calculated for Cu Ka.

Atomic structure:
abc: 4.3567 23.2268 4.1318
angles: 90.00 90.00 90.00
Space group Cmcm (No. 63)
Unique sites:
1 Tm 0.0000 0.0627 0.2500 x4
2 Tm 0.0000 0.3338 0.2500 x4
3 Al 0.0000 0.4628 0.2500 x4
4 Te 0.0000 0.1953 0.2500 x4

Peak list (10 most intense, 10 to 90 degrees two-theta, low angle first)
26.48°, I = 17
30.05°, I = 100
30.80°, I = 29
31.67°, I = 16
33.96°, I = 34
40.55°, I = 43
41.45°, I = 22
43.82°, I = 19
56.57°, I = 16
70.76°, I = 15